No. 1
Theoretical XRD peak list
Compound: BHPb
Radiation: CuKα
Structure: a GGA-PBE-relaxed structure
Peak positions follow from Bragg's law for the DFT cell and can differ from measured ones.

Largest 8 diffraction maxima, sorted by position, 2θ = 10–80°:
2θ 17.44, d 5.086, intensity 100
2θ 27.88, d 3.201, intensity 43
2θ 29.22, d 3.056, intensity 75
2θ 32.33, d 2.769, intensity 25
2θ 38.67, d 2.329, intensity 31
2θ 40.52, d 2.226, intensity 29
2θ 41.13, d 2.194, intensity 30
2θ 47.53, d 1.913, intensity 22

Atomic structure:
a b c (Å): 3.204 6.098 6.347
angles (deg): 61.95 75.48 74.82
Atoms (fractional coordinates):
B: 0.238 0.455 0.068
B: 0.762 0.545 0.932
H: 0.229 0.275 0.268
H: 0.771 0.725 0.732
Pb: 0.478 0.271 0.769
Pb: 0.522 0.729 0.231

No. 2
Theoretical XRD peak list
Compound: B2H8Pd
Radiation: CuKα
Structure: a GGA-PBE-relaxed structure
Peak positions follow from Bragg's law for the DFT cell and can differ from measured ones.

Largest 8 diffraction maxima, sorted by position, 2θ = 10–80°:
2θ 16.98, d 5.222, intensity 100
2θ 23.26, d 3.824, intensity 32
2θ 24.08, d 3.696, intensity 14
2θ 27.22, d 3.276, intensity 20
2θ 31.84, d 2.810, intensity 23
2θ 33.73, d 2.657, intensity 13
2θ 37.46, d 2.401, intensity 12
2θ 38.89, d 2.316, intensity 13

Atomic structure:
a b c (Å): 5.296 5.296 3.789
angles (deg): 98.79 98.79 92.44
Atoms (fractional coordinates):
B: 0.209 0.209 0.133
B: 0.791 0.791 0.867
H: 0.016 0.301 0.239
H: 0.209 0.209 0.792
H: 0.301 0.016 0.239
H: 0.378 0.378 0.207
H: 0.622 0.622 0.793
H: 0.699 0.984 0.761
H: 0.791 0.791 0.208
H: 0.984 0.699 0.761
Pd: 0.000 0.000 0.500